(1)
Simulated X-ray powder pattern
Compound: MgNi2O4
Radiation: copper Kα
Structure: a structure optimized by DFT (PBE+U)

Main lines, sorted by position (10° ≤ 2θ ≤ 90°):
d 4.660, I = 50
d 2.795, I = 36
d 2.602, I = 100
d 2.381, I = 22
d 2.151, I = 45
d 2.095, I = 54
d 1.953, I = 52
d 1.551, I = 26
d 1.420, I = 30
d 1.413, I = 21

Atomic structure:
```
28
Lattice="2.9239 0.0000 0.0000 0.0000 9.5231 0.0000 0.0000 0.0000 9.3195" Properties=species:S:1:pos:R:3 pbc="T T T"
Mg 0.6448 1.3861 2.3299
Mg 0.6448 3.3755 6.9896
Mg 2.2791 6.1476 2.3299
Mg 2.2791 8.1370 6.9896
Ni 0.7827 5.8454 5.3125
Ni 0.7827 5.8454 8.6668
Ni 0.7827 8.4392 0.6528
Ni 0.7827 8.4392 4.0070
Ni 2.1412 1.0839 5.3125
Ni 2.1412 1.0839 8.6668
Ni 2.1412 3.6776 0.6528
Ni 2.1412 3.6776 4.0070
O 0.4897 2.3808 0.0000
O 0.4897 2.3808 4.6598
O 0.8094 5.0187 1.0587
O 0.8094 5.0187 3.6010
O 0.8094 9.2659 5.7185
O 0.8094 9.2659 8.2608
O 0.8182 6.7193 6.9896
O 0.8182 7.5653 2.3299
O 2.1057 1.9578 6.9896
O 2.1057 2.8038 2.3299
O 2.1145 0.2571 1.0587
O 2.1145 0.2571 3.6010
O 2.1145 4.5044 5.7185
O 2.1145 4.5044 8.2608
O 2.4342 7.1423 0.0000
O 2.4342 7.1423 4.6598
```

***

(2)
Simulated X-ray powder pattern
Compound: MgNi2O4
Radiation: copper Kα
Structure: a structure optimized by DFT (PBE+U)

Main lines, sorted by position (10° ≤ 2θ ≤ 90°):
d 4.825, I = 39
d 2.946, I = 28
d 2.515, I = 23
d 2.502, I = 100
d 2.078, I = 36
d 1.603, I = 16
d 1.599, I = 16
d 1.597, I = 11
d 1.473, I = 28
d 1.465, I = 29

Atomic structure:
```
14
Lattice="2.9305 1.6919 4.8246 -2.9305 1.6919 4.8246 0.0000 -3.3839 4.8246" Properties=species:S:1:pos:R:3 pbc="T T T"
Mg 0.0000 0.0000 0.0000
Mg 0.0000 0.0000 5.5688
Ni 0.0000 -1.7034 7.9813
Ni -1.4752 0.8517 7.9813
Ni 0.0000 0.0000 11.1011
Ni 1.4752 0.8517 7.9813
O 0.0000 0.0000 2.0073
O 0.0000 -1.5225 4.1982
O -1.3185 0.7612 4.1982
O -1.3380 -0.7725 6.9501
O 1.3185 0.7612 4.1982
O 0.0000 0.0000 9.1086
O 1.3380 -0.7725 6.9501
O 0.0000 1.5450 6.9501
```

***

(3)
Simulated X-ray powder pattern
Compound: MgNi4O9
Radiation: copper Kα
Structure: a structure optimized by DFT (PBE+U)

Main lines, sorted by position (10° ≤ 2θ ≤ 90°):
d 5.444, I = 100
d 3.941, I = 10
d 3.077, I = 12
d 2.722, I = 10
d 2.587, I = 10
d 2.335, I = 9
d 2.173, I = 9
d 1.864, I = 10
d 1.764, I = 12
d 1.713, I = 10

Atomic structure:
```
28
Lattice="5.4437 0.0000 0.0000 -0.0088 8.1449 0.0000 -0.0052 -0.2493 8.2625" Properties=species:S:1:pos:R:3 pbc="T T T"
Mg 1.1687 1.9744 2.0661
Mg 4.2609 5.9212 6.1964
Ni 2.3576 0.0556 5.4677
Ni 2.3521 3.6422 6.9258
Ni 2.4358 5.3016 3.8704
Ni 2.4365 6.7904 0.2602
Ni 2.9931 1.1052 8.0023
Ni 2.9938 2.5940 4.3921
Ni 3.0775 4.2534 1.3367
Ni 3.0720 7.8400 2.7948
O 0.6673 4.8115 6.8803
O 0.6643 7.0247 5.5073
O 0.6941 5.8345 4.8802
O 0.6905 6.0014 7.5089
O 2.0803 1.0493 3.7740
O 2.0816 2.8990 0.3574
O 2.1979 0.3474 1.1784
O 2.1991 3.6009 2.9530
O 2.6534 6.0462 2.0647
O 2.7762 1.8494 6.1978
O 3.2305 4.2947 5.3095
O 3.2317 7.5482 7.0840
O 3.3480 4.9966 7.9051
O 3.3494 6.8464 4.4885
O 4.7392 1.8942 0.7536
O 4.7355 2.0611 3.3823
O 4.7653 0.8709 2.7552
O 4.7623 3.0841 1.3822
```

***

(4)
Simulated X-ray powder pattern
Compound: MgNiPO5
Radiation: copper Kα
Structure: a structure optimized by DFT (PBE+U)

Main lines, sorted by position (10° ≤ 2θ ≤ 90°):
d 4.953, I = 38
d 3.404, I = 17
d 3.146, I = 100
d 3.106, I = 69
d 2.501, I = 80
d 2.098, I = 19
d 2.008, I = 18
d 1.703, I = 27
d 1.665, I = 16
d 1.651, I = 20

Atomic structure:
```
16
Lattice="3.3840 -4.1033 0.0000 3.3840 4.1033 0.0000 -2.7252 0.0000 6.2979" Properties=species:S:1:pos:R:3 pbc="T T T"
Mg 2.0214 2.6639 3.1489
Mg 3.3840 -2.6639 0.0000
Ni 2.9732 0.0589 1.9265
Ni 1.6106 -0.0589 5.0754
P 3.7394 2.8273 0.3683
P 2.3768 -2.8273 3.5173
O -0.2696 0.1208 4.2601
O 1.0930 -0.1208 1.1112
O 2.8163 2.0534 1.3423
O 1.9913 1.8473 5.9567
O 2.2881 0.7221 3.5249
O 3.6507 -0.7221 0.3760
O 1.4537 -2.0534 4.4912
O 4.9327 0.4708 2.4714
O 3.3539 -1.8473 2.8078
O 3.5701 -0.4708 5.6203
```

***

(5)
Simulated X-ray powder pattern
Compound: MgNi3P4O14
Radiation: copper Kα
Structure: a structure optimized by DFT (PBE+U)

Main lines, sorted by position (10° ≤ 2θ ≤ 90°):
d 6.681, I = 54
d 4.408, I = 30
d 3.147, I = 35
d 3.084, I = 95
d 2.894, I = 100
d 2.865, I = 79
d 2.650, I = 34
d 2.600, I = 40
d 2.376, I = 31
d 2.164, I = 34

Atomic structure:
```
44
Lattice="7.2861 0.0000 0.0000 0.0000 7.4034 0.0000 -3.8357 0.0000 8.8161" Properties=species:S:1:pos:R:3 pbc="T T T"
Mg 0.0000 0.0000 0.0000
Mg -1.9179 3.7017 4.4081
Ni 0.4843 0.9530 4.2175
Ni -1.4336 2.7488 8.6256
Ni 3.6430 0.0000 0.0000
Ni 1.7252 3.7017 4.4081
Ni 4.8839 4.6547 0.1906
Ni 2.9661 6.4505 4.5986
P -2.0412 0.6754 6.1571
P -0.1233 3.0263 1.7490
P 1.9543 5.1997 1.6332
P 0.0365 5.9054 6.0413
P 3.4139 1.4980 2.7749
P 1.4960 2.2037 7.1829
P 3.5736 4.3771 7.0671
P 5.4915 6.7280 2.6590
O -1.4169 1.7476 5.2625
O 0.5009 1.9541 0.8545
O -2.2464 4.0471 7.2399
O -0.3286 7.0580 2.8318
O 0.5773 4.4290 1.3828
O -1.3406 6.6761 5.7908
O -1.7290 0.9206 7.6706
O 0.1889 2.7811 3.2625
O -0.0996 4.5806 5.2831
O 1.8183 6.5245 0.8751
O 2.0722 5.2712 3.1611
O 0.1544 5.8339 7.5692
O 3.0281 4.3074 1.0019
O 1.1102 6.7977 5.4100
O 2.3401 0.6057 3.4062
O 0.4223 3.0960 7.8142
O 3.2960 1.5695 1.2470
O 1.3781 2.1322 5.6550
O 1.6321 0.8789 7.9410
O 3.5499 2.8228 3.5330
O 3.2615 4.6223 5.5536
O 5.1793 6.4828 1.1455
O 4.7909 0.7273 3.0253
O 2.8730 2.9744 7.4334
O 3.7789 0.3454 5.9843
O 5.6968 3.3563 1.5762
O 2.9494 5.4493 7.9616
O 4.8673 5.6559 3.5536
```

***

(6)
Simulated X-ray powder pattern
Compound: MgNiP4O12
Radiation: copper Kα
Structure: a structure optimized by DFT (PBE+U)

Main lines, sorted by position (10° ≤ 2θ ≤ 90°):
d 6.200, I = 50
d 4.621, I = 42
d 4.294, I = 23
d 3.560, I = 31
d 3.204, I = 20
d 3.029, I = 100
d 2.895, I = 26
d 2.603, I = 24
d 2.404, I = 22
d 2.117, I = 20

Atomic structure:
```
36
Lattice="5.9310 -4.1734 0.0000 5.9310 4.1734 0.0000 -4.8094 0.0000 8.8071" Properties=species:S:1:pos:R:3 pbc="T T T"
Mg 2.3239 3.7387 6.6053
Mg 4.7287 -3.7387 2.2018
Ni 0.5608 2.0867 4.4036
Ni 2.9655 -2.0867 0.0000
P 5.7297 1.9875 0.2094
P 3.7276 1.9875 4.1941
P -0.2668 0.0853 7.0859
P 2.1379 -0.0853 2.6823
P 4.9147 0.0853 6.1248
P 7.3195 -0.0853 1.7213
P 3.3250 -1.9875 4.6130
P 1.3229 -1.9875 8.5977
O 5.1298 3.1693 0.8573
O 0.8273 0.6616 2.8739
O 4.3276 3.1693 3.5463
O 0.0208 0.6511 5.7486
O 2.5361 2.1650 5.1282
O -0.2547 1.2213 8.2310
O -1.5774 -0.6616 7.2775
O 2.1118 2.1650 8.0825
O 3.3489 0.8978 3.0648
O 2.4255 -0.6511 1.3451
O 6.1084 0.8978 1.3387
O 4.9026 1.2213 4.9797
O 2.1500 -1.2213 3.8275
O 0.9442 -0.8978 7.4684
O 4.6271 0.6511 7.4620
O 3.7037 -0.8978 5.7423
O 4.9408 -2.1650 0.7247
O 8.6300 0.6616 1.5296
O 7.3073 -1.2213 0.5761
O 4.5165 -2.1650 3.6789
O 7.0319 -0.6511 3.0585
O 2.7251 -3.1693 5.2609
O 6.2253 -0.6616 5.9332
O 1.9228 -3.1693 7.9498
```

***

(7)
Simulated X-ray powder pattern
Compound: MgNi2P2O10
Radiation: copper Kα
Structure: a structure optimized by DFT (PBE+U)

Main lines, sorted by position (10° ≤ 2θ ≤ 90°):
d 5.527, I = 40
d 4.108, I = 23
d 3.195, I = 68
d 2.934, I = 24
d 2.867, I = 100
d 2.801, I = 67
d 2.763, I = 66
d 2.002, I = 30
d 1.681, I = 30
d 1.594, I = 32

Atomic structure:
```
30
Lattice="0.0000 5.5428 8.2161 3.4587 0.0000 8.2161 3.4587 5.5428 0.0000" Properties=species:S:1:pos:R:3 pbc="T T T"
Mg 0.8647 1.3857 2.0540
Mg 6.0528 9.6999 14.3782
Ni 3.4587 2.7714 4.1081
Ni 1.7294 5.5428 4.1081
Ni 1.7294 2.7714 8.2161
Ni 3.4587 5.5428 8.2161
P 2.5941 4.1571 1.2954
P 4.3234 6.9285 5.4034
P 2.5941 4.1571 11.0288
P 4.3234 6.9285 15.1368
O 2.3831 2.9077 2.1860
O 2.0556 1.5201 4.4103
O 3.1325 1.5201 7.9139
O 4.8619 4.2915 8.5183
O 2.8050 5.4066 2.1860
O 4.5344 5.6791 6.2941
O 2.5941 4.1571 4.8980
O 3.1325 6.7942 4.4103
O 2.5941 4.1571 7.4262
O 2.8050 2.9077 10.1381
O 4.1124 8.1780 6.2941
O 4.3234 6.9285 9.0060
O 3.7850 4.2915 12.0219
O 4.3234 6.9285 11.5342
O 2.3831 5.4066 10.1381
O 4.1124 5.6791 14.2462
O 2.0556 6.7942 7.9139
O 3.7850 9.5656 8.5183
O 4.8619 9.5656 12.0219
O 4.5344 8.1780 14.2462
```

***

(8)
Simulated X-ray powder pattern
Compound: PrMgNi4O12
Radiation: copper Kα
Structure: a structure optimized by DFT (PBE+U)

Main lines, sorted by position (10° ≤ 2θ ≤ 90°):
d 5.077, I = 33
d 4.273, I = 100
d 2.718, I = 52
d 2.602, I = 68
d 2.538, I = 61
d 1.978, I = 28
d 1.871, I = 21
d 1.560, I = 30
d 1.519, I = 25
d 1.458, I = 32

Atomic structure:
```
18
Lattice="7.9109 0.0000 0.0000 0.0000 3.4551 3.7417 0.0000 -3.4551 3.7417" Properties=species:S:1:pos:R:3 pbc="T T T"
Pr 0.0000 0.0000 0.0000
Mg 3.9555 0.0000 4.0963
Ni 2.1080 -1.7235 2.1414
Ni 2.1080 1.7235 2.1414
Ni 5.8029 -1.7235 2.1414
Ni 5.8029 1.7235 2.1414
O 0.0000 -1.3409 2.1609
O 0.0000 1.3409 2.1609
O 1.5279 0.0000 5.4430
O 2.0370 -2.1698 4.0089
O 2.0370 2.1698 4.0089
O 2.5934 0.0000 2.6506
O 3.9555 -1.2435 5.6437
O 3.9555 1.2435 5.6437
O 5.3175 0.0000 2.6506
O 5.8739 -2.1698 4.0089
O 5.8739 2.1698 4.0089
O 6.3830 0.0000 5.4430
```

***

(9)
Simulated X-ray powder pattern
Compound: Mg2NiRuO6
Radiation: copper Kα
Structure: a structure optimized by DFT (PBE+U)

Main lines, sorted by position (10° ≤ 2θ ≤ 90°):
d 4.779, I = 72
d 3.678, I = 62
d 2.915, I = 100
d 2.601, I = 37
d 2.004, I = 38
d 1.839, I = 34
d 1.760, I = 24
d 1.555, I = 29
d 1.358, I = 20
d 1.355, I = 20

Atomic structure:
```
10
Lattice="5.2013 0.0000 0.0000 0.0000 5.2013 0.0000 0.0000 0.0000 4.7791" Properties=species:S:1:pos:R:3 pbc="T T T"
Mg 0.0000 2.6007 0.0000
Mg 2.6007 0.0000 0.0000
Ni 0.0000 0.0000 3.1044
Ru 2.6007 2.6007 3.0891
O 0.0000 0.0000 1.2038
O 1.3597 1.3597 3.8677
O 1.3597 3.8417 3.8677
O 2.6007 2.6007 1.3788
O 3.8417 1.3597 3.8677
O 3.8417 3.8417 3.8677
```

***

(10)
Simulated X-ray powder pattern
Compound: MgNiS2O8
Radiation: copper Kα
Structure: a structure optimized by DFT (PBE+U)

Main lines, sorted by position (10° ≤ 2θ ≤ 90°):
d 5.927, I = 83
d 4.455, I = 38
d 3.561, I = 100
d 2.572, I = 88
d 2.467, I = 52
d 2.359, I = 56
d 1.943, I = 31
d 1.806, I = 20
d 1.781, I = 49
d 1.286, I = 23

Atomic structure:
```
12
Lattice="5.1441 0.0000 0.0000 -2.5721 4.4550 0.0000 0.0000 0.0000 5.9272" Properties=species:S:1:pos:R:3 pbc="T T T"
Mg 0.0000 0.0000 0.0000
Ni 0.0000 0.0000 2.9636
S 0.0000 2.9700 4.0267
S 2.5721 1.4850 1.9005
O 0.0000 1.5514 4.5396
O -1.2285 3.6793 4.5396
O 0.0000 2.9700 2.5898
O 1.3435 0.7757 1.3875
O 1.2285 3.6793 4.5396
O 2.5721 1.4850 3.3373
O 3.8006 0.7757 1.3875
O 2.5721 2.9036 1.3875
```